Zn3Ag2Au4: theoretical powder diffraction line list (CuKα), based on a crystal structure in Alexandria, relaxed with PBE.

Top 6 peaks for 2θ = 10–80°, in order of rising 2θ:
28.03°, 3.183 Å, I = 26; 38.12°, 2.361 Å, I = 68; 39.01°, 2.309 Å, I = 100; 41.34°, 2.184 Å, I = 26; 42.59°, 2.123 Å, I = 29; 43.47°, 2.082 Å, I = 30

Structure:
Cell: 5.5038 13.7335 8.4905 Å, 90.00 90.00 90.00°
Space group Cmce (No. 64)
Symmetry-distinct sites (fractional):
Zn 0.0000 0.0000 0.0000
Zn 0.2500 0.2312 0.2500
Ag 0.0000 0.0980 0.4401
Au 0.0000 0.1910 0.9926
Au 0.2500 0.0609 0.7500